No. 1
Simulated PXRD pattern of BaAlFe4O7 for Cu Kα, from a crystal structure in Alexandria, relaxed with GGA+U.
No peak broadening, texture or thermal motion is included.

Main lines, sorted by position (10 to 80 degrees two-theta):
index	2θ/deg	Rel. int.
1 0 1	19.05	33
1 1 0	29.70	28
1 0 3	30.99	71
0 0 4	34.46	100
2 0 1	35.53	85
2 0 2	38.68	25
2 1 3	53.51	20
3 0 2	55.83	27
2 0 5	56.63	35
2 2 0	61.67	27

Atomic structure:
```
data_BaAlFe4O7
_cell_length_a 6.0159
_cell_length_b 6.0159
_cell_length_c 10.3987
_cell_angle_alpha 90.00
_cell_angle_beta 90.00
_cell_angle_gamma 120.00
_space_group_name_H-M_alt 'P 63 m c'
_space_group_IT_number 186
_space_group_name_Hall 'P 6c -2c'
loop_
_atom_site_label
_atom_site_fract_x
_atom_site_fract_y
_atom_site_fract_z
Ba1 0.3333 0.6667 0.0000
Al1 0.3333 0.6667 0.3862
Fe1 0.0000 0.0000 0.4340
Fe2 0.1900 0.3799 0.6922
O1 0.0000 0.0000 0.2494
O2 0.0216 0.5108 0.2911
O3 0.1735 0.3469 0.5012
```

No. 2
Simulated PXRD pattern of Ba2AlFe3O7 for Cu Kα, from a crystal structure in Alexandria, relaxed with GGA+U.
No peak broadening, texture or thermal motion is included.

Main lines, sorted by position (10 to 80 degrees two-theta):
index	2θ/deg	Rel. int.
0 1 -2	26.12	27
1 0 -2	29.42	18
1 1 0	29.72	100
1 -1 0	30.79	52
0 1 -3	32.62	23
1 0 3	33.99	33
1 0 -3	35.12	25
0 2 1	37.84	21
2 0 0	48.46	20
0 2 6	61.64	18

Atomic structure:
```
data_Ba2AlFe3O7
_cell_length_a 3.7613
_cell_length_b 4.7956
_cell_length_c 10.8271
_cell_angle_alpha 84.43
_cell_angle_beta 87.99
_cell_angle_gamma 87.89
_space_group_name_H-M_alt 'P 1'
_space_group_IT_number 1
_space_group_name_Hall 'P 1'
loop_
_atom_site_label
_atom_site_fract_x
_atom_site_fract_y
_atom_site_fract_z
Ba1 0.0000 0.0000 0.0000
Ba2 0.0329 0.1034 0.6365
Al1 0.1574 0.0441 0.3120
Fe1 0.4997 0.4611 0.1807
Fe2 0.5164 0.5762 0.8184
Fe3 0.5411 0.6187 0.4548
O1 0.0145 0.8063 0.4366
O2 0.4348 0.8427 0.2083
O3 0.4593 0.2750 0.3703
O4 0.5125 0.4661 0.9980
O5 0.5152 0.5249 0.6448
O6 0.5163 0.9848 0.8177
O7 0.9963 0.3051 0.1931
```

No. 3
Simulated PXRD pattern of Ba2AlTlFe2O7 for Cu Kα, from a crystal structure in Alexandria, relaxed with GGA+U.
No peak broadening, texture or thermal motion is included.

Main lines, sorted by position (10 to 80 degrees two-theta):
index	2θ/deg	Rel. int.
1 0 2	26.97	99
1 0 3	31.23	100
1 1 0	32.82	78
1 1 1	33.58	25
0 0 5	35.00	38
2 0 0	47.10	41
1 1 5	48.73	40
2 1 2	55.11	29
2 1 3	57.60	37
2 0 5	60.01	29

Atomic structure:
```
data_Ba2AlTlFe2O7
_cell_length_a 3.8591
_cell_length_b 3.8591
_cell_length_c 12.8190
_cell_angle_alpha 90.00
_cell_angle_beta 90.00
_cell_angle_gamma 90.00
_space_group_name_H-M_alt 'P 4/m m m'
_space_group_IT_number 123
_space_group_name_Hall '-P 4 2'
loop_
_atom_site_label
_atom_site_fract_x
_atom_site_fract_y
_atom_site_fract_z
Ba1 0.0000 0.0000 0.2054
Al1 0.0000 0.0000 0.5000
Tl1 0.5000 0.5000 0.0000
Fe1 0.5000 0.5000 0.3816
O1 0.0000 0.0000 0.0000
O2 0.0000 0.5000 0.4018
O3 0.5000 0.5000 0.1739
```

No. 4
Simulated PXRD pattern of Ba2AlTlFe2O7 for Cu Kα, from a crystal structure in Alexandria, relaxed with GGA+U.
No peak broadening, texture or thermal motion is included.

Main lines, sorted by position (10 to 80 degrees two-theta):
index	2θ/deg	Rel. int.
0 1 2	25.22	35
0 1 -2	26.61	59
1 0 -2	29.04	50
1 0 3	29.90	100
1 1 0	30.05	46
0 1 3	30.23	44
1 -1 0	31.91	66
0 0 5	38.42	38
0 2 0	42.60	24
2 0 1	45.67	37

Atomic structure:
```
data_Ba2AlTlFe2O7
_cell_length_a 3.9848
_cell_length_b 4.2605
_cell_length_c 11.8566
_cell_angle_alpha 86.32
_cell_angle_beta 81.75
_cell_angle_gamma 86.18
_space_group_name_H-M_alt 'P 1'
_space_group_IT_number 1
_space_group_name_Hall 'P 1'
loop_
_atom_site_label
_atom_site_fract_x
_atom_site_fract_y
_atom_site_fract_z
Ba1 0.0000 0.0000 0.0000
Ba2 0.2063 0.0728 0.5669
Al1 0.1037 0.0282 0.2839
Tl1 0.6045 0.5935 0.7829
Fe1 0.4686 0.4790 0.1687
Fe2 0.7382 0.5784 0.3999
O1 0.0792 0.8794 0.7824
O2 0.2590 0.6603 0.3668
O3 0.4237 0.9659 0.1624
O4 0.5206 0.4808 0.9644
O5 0.6659 0.5284 0.6018
O6 0.7827 0.0905 0.4049
O7 0.9480 0.3998 0.2024
```